The following is a simulated powder diffraction line list of LuTcNiBi. It was derived from a DFT-relaxed cell (PBE, OQMD), using Cu Kα (weighted mean of Kα1 and Kα2).

Main lines, in order of rising 2θ (10° ≤ 2θ ≤ 90°):
d (Å)  2theta  intensity
3.316  26.89  19
2.345  38.39  100
1.914  47.49  6
1.658  55.42  17
1.483  62.65  8
1.354  69.43  35
1.172  82.23  11
1.105  88.45  4

Structure:
```
data_LuTcNiBi
_chemical_formula_sum 'Lu1 Tc1 Ni1 Bi1'
_symmetry_space_group_name_H-M 'P 1'
_symmetry_Int_Tables_number 1
_symmetry_space_group_name_Hall 'P 1'
_cell_length_a 4.6894
_cell_length_b 4.6894
_cell_length_c 4.6894
_cell_angle_alpha 60.00
_cell_angle_beta 60.00
_cell_angle_gamma 60.00
loop_
_atom_site_label
_atom_site_type_symbol
_atom_site_fract_x
_atom_site_fract_y
_atom_site_fract_z
_atom_site_occupancy
Lu1 Lu 0.0000 0.0000 0.0000 1
Tc1 Tc 0.2500 0.2500 0.2500 1
Ni1 Ni 0.7500 0.7500 0.7500 1
Bi1 Bi 0.5000 0.5000 0.5000 1
```